1.
Diffraction record for Y3Sn. The PXRD pattern is simulated, not measured: it uses a crystal structure in the Materials Project, relaxed with GGA-PBE and CuKα.

Most intense lines, 2θ from 5° to 70°, low angle first:
index, two_theta, intensity
2 0 0, 30.0, 24
0 0 2, 32.0, 27
2 0 1, 34.1, 100
2 2 0, 53.3, 18
2 0 3, 58.3, 21
2 2 2, 63.5, 21

Atomic structure:
Unit cell a=6.8807 b=6.8807 c=5.6007 alpha=90.00 beta=90.00 gamma=120.00
Space group P6_3/mmc (No. 194)
Symmetry-distinct sites (fractional):
Y1 0.1711 0.3423 0.2500 [6 per cell]
Sn1 0.3333 0.6667 0.7500 [2 per cell]

2.
Diffraction record for Ba3TmIrRuO9. The PXRD pattern is simulated, not measured: it uses a crystal structure in the Materials Project, relaxed with GGA-PBE and CuKα.

Most intense lines, 2θ from 5° to 70°, low angle first:
index, two_theta, intensity
1 0 3, 25.2, 18
1 0 4, 30.0, 65
1 1 0, 30.2, 100
2 0 4, 43.1, 35
3 0 0, 53.5, 45
2 2 0, 62.7, 18

Atomic structure:
Unit cell a=5.9264 b=5.9264 c=14.6104 alpha=90.00 beta=90.00 gamma=120.00
Space group P6_3mc (No. 186)
Symmetry-distinct sites (fractional):
Ba1 0.0000 0.0000 0.0000 [2 per cell]
Ba2 0.3333 0.6667 0.1563 [2 per cell]
Ba3 0.3333 0.6667 0.8441 [2 per cell]
Tm1 0.0000 0.0000 0.2509 [2 per cell]
Ir1 0.3333 0.6667 0.4136 [2 per cell]
Ru1 0.3333 0.6667 0.5879 [2 per cell]
O1 0.0195 0.5098 0.5005 [6 per cell]
O2 0.1744 0.3489 0.3359 [6 per cell]
O3 0.1753 0.3506 0.6632 [6 per cell]

3.
Diffraction record for CaMnGe. The PXRD pattern is simulated, not measured: it uses a crystal structure in the Materials Project, relaxed with GGA-PBE and CuKα.

Most intense lines, 2θ from 5° to 70°, low angle first:
index, two_theta, intensity
0 0 1, 11.7, 87
1 0 2, 32.5, 58
1 1 1, 33.7, 25
1 1 2, 39.7, 100
2 0 0, 45.1, 53
1 0 4, 53.7, 24

Atomic structure:
Unit cell a=4.021 b=4.021 c=7.545 alpha=90.00 beta=90.00 gamma=90.00
Space group P4/nmm (No. 129, origin choice 2)
Symmetry-distinct sites (fractional):
Ca1 0.250 0.250 0.166 [2 per cell]
Mn1 0.250 0.750 0.500 [2 per cell]
Ge1 0.250 0.250 0.701 [2 per cell]

4.
Diffraction record for WSeS. The PXRD pattern is simulated, not measured: it uses a crystal structure in the Materials Project, relaxed with GGA-PBE and CuKα.

Most intense lines, 2θ from 5° to 70°, low angle first:
index, two_theta, intensity
0 0 2, 7.7, 42
0 0 3, 11.5, 100
0 0 4, 15.4, 21
1 0 5, 37.4, 45
1 0 6, 39.7, 18
0 1 8, 45.0, 30

Atomic structure:
Unit cell a=3.2547 b=3.2547 c=23.0229 alpha=90.00 beta=90.00 gamma=120.00
Space group P3m1 (No. 156)
Symmetry-distinct sites (fractional):
W1 0.0000 0.0000 0.0000 [1 per cell]
W2 0.3333 0.6667 0.3010 [1 per cell]
Se1 0.0000 0.0000 0.2269 [1 per cell]
Se2 0.0000 0.0000 0.3751 [1 per cell]
S1 0.3333 0.6667 0.0673 [1 per cell]
S2 0.3333 0.6667 0.9327 [1 per cell]

5.
Diffraction record for Cs2AgSbS4. The PXRD pattern is simulated, not measured: it uses a crystal structure in the Materials Project, relaxed with GGA-PBE and CuKα.

Most intense lines, 2θ from 5° to 70°, low angle first:
index, two_theta, intensity
1 -1 1, 22.5, 100
1 0 -2, 23.2, 80
1 2 1, 24.2, 80
2 0 0, 26.8, 69
2 1 2, 27.1, 60
1 2 -1, 29.5, 58

Atomic structure:
Unit cell a=7.097 b=7.543 c=11.290 alpha=73.20 beta=75.56 gamma=72.07
Space group P-1 (No. 2)
Symmetry-distinct sites (fractional):
Cs1 0.217 0.256 0.095 [2 per cell]
Cs2 0.264 0.011 0.688 [2 per cell]
Ag1 0.121 0.591 0.572 [2 per cell]
Sb1 0.370 0.632 0.264 [2 per cell]
S1 0.235 0.861 0.390 [2 per cell]
S2 0.255 0.762 0.072 [2 per cell]
S3 0.262 0.351 0.382 [2 per cell]
S4 0.272 0.448 0.769 [2 per cell]

6.
Diffraction record for Rb2Be2O3. The PXRD pattern is simulated, not measured: it uses a crystal structure in the Materials Project, relaxed with GGA-PBE and CuKα.

Most intense lines, 2θ from 5° to 70°, low angle first:
index, two_theta, intensity
1 1 1, 20.5, 79
2 2 0, 33.4, 53
2 0 2, 33.9, 100
3 1 1, 39.5, 76
1 1 3, 40.3, 35
4 2 2, 60.1, 35

Atomic structure:
Unit cell a=7.578 b=7.578 c=7.392 alpha=90.00 beta=90.00 gamma=90.00
Space group P4_12_12 (No. 92)
Symmetry-distinct sites (fractional):
Rb1 0.004 0.246 0.137 [8 per cell]
Be1 0.033 0.720 0.158 [8 per cell]
O1 0.113 0.887 0.250 [4 per cell]
O2 0.128 0.633 0.994 [8 per cell]

7.
Diffraction record for ErMnGa. The PXRD pattern is simulated, not measured: it uses a crystal structure in the Materials Project, relaxed with GGA-PBE and CuKα.

Most intense lines, 2θ from 5° to 70°, low angle first:
index, two_theta, intensity
0 2 2, 29.1, 31
2 0 2, 33.8, 44
2 3 1, 33.9, 100
2 2 2, 36.9, 98
2 4 0, 37.1, 46
4 0 0, 45.3, 42

Atomic structure:
Unit cell a=8.008 b=12.161 c=7.096 alpha=90.00 beta=90.00 gamma=90.00
Space group Ima2 (No. 46)
Symmetry-distinct sites (fractional):
Er1 0.250 0.000 0.000 [4 per cell]
Er2 0.250 0.202 0.636 [4 per cell]
Er3 0.250 0.708 0.145 [4 per cell]
Mn1 0.000 0.000 0.668 [4 per cell]
Mn2 0.002 0.167 0.931 [8 per cell]
Ga1 0.005 0.125 0.301 [8 per cell]
Ga2 0.250 0.506 0.925 [4 per cell]

8.
Diffraction record for TcCl6O6. The PXRD pattern is simulated, not measured: it uses a crystal structure in the Materials Project, relaxed with GGA-PBE and CuKα.

Most intense lines, 2θ from 5° to 70°, low angle first:
index, two_theta, intensity
0 0 1, 11.6, 100
0 1 0, 12.3, 75
1 0 0, 13.4, 71
1 0 1, 13.8, 71
0 1 1, 16.1, 56
2 1 2, 28.4, 49

Atomic structure:
Unit cell a=7.303 b=7.310 c=8.386 alpha=81.36 beta=65.61 gamma=81.91
Space group P1 (No. 1)
Symmetry-distinct sites (fractional):
Tc1 0.000 0.000 0.000 [1 per cell]
Cl1 0.080 0.688 0.056 [1 per cell]
Cl2 0.203 0.070 0.128 [1 per cell]
Cl3 0.269 0.000 0.730 [1 per cell]
Cl4 0.726 0.994 0.267 [1 per cell]
Cl5 0.793 0.938 0.873 [1 per cell]
Cl6 0.926 0.314 0.947 [1 per cell]
O1 0.407 0.458 0.356 [1 per cell]
O2 0.501 0.561 0.225 [1 per cell]
O3 0.560 0.445 0.658 [1 per cell]
O4 0.624 0.282 0.638 [1 per cell]
O5 0.945 0.585 0.616 [1 per cell]
O6 0.960 0.715 0.501 [1 per cell]

What did the first record say?
Diffraction record for Y3Sn. The PXRD pattern is simulated, not measured: it uses a crystal structure in the Materials Project, relaxed with GGA-PBE and CuKα.

Most intense lines, 2θ from 5° to 70°, low angle first:
index, two_theta, intensity
2 0 0, 30.0, 24
0 0 2, 32.0, 27
2 0 1, 34.1, 100
2 2 0, 53.3, 18
2 0 3, 58.3, 21
2 2 2, 63.5, 21

Atomic structure:
Unit cell a=6.8807 b=6.8807 c=5.6007 alpha=90.00 beta=90.00 gamma=120.00
Space group P6_3/mmc (No. 194)
Symmetry-distinct sites (fractional):
Y1 0.1711 0.3423 0.2500 [6 per cell]
Sn1 0.3333 0.6667 0.7500 [2 per cell]